[1]
Diffraction record for AcLaYTm. The powder X-ray diffraction pattern is simulated, not measured: it uses a crystal structure in Alexandria, relaxed with GGA-PBE and Cu Kα X-rays.
Lines closer than 0.1° are merged.

Top 12 peaks for 2θ from 5° to 70°, in order of rising 2θ:
| 2theta | I/Imax |
| --- | --- |
| 17.17 | 6 |
| 23.85 | 6 |
| 25.38 | 3 |
| 29.53 | 100 |
| 33.98 | 35 |
| 34.73 | 15 |
| 38.31 | 4 |
| 48.81 | 13 |
| 49.38 | 23 |
| 58.09 | 30 |
| 59.09 | 12 |
| 61.29 | 12 |

Cell and atoms:
Unit cell a=3.7313 b=3.7313 c=10.3309 alpha=90.00 beta=90.00 gamma=90.00
Element x y z (fractional)
Ac 0.0000 0.0000 0.0000
La 0.5000 0.5000 0.7327
Y 0.5000 0.5000 0.2647
Tm 0.0000 0.0000 0.4896

[2]
Diffraction record for Ac5La4Y2. The powder X-ray diffraction pattern is simulated, not measured: it uses a crystal structure in Alexandria, relaxed with GGA-PBE and Cu Kα X-rays.
Lines closer than 0.1° are merged.

Top 12 peaks for 2θ from 5° to 70°, in order of rising 2θ:
| 2theta | I/Imax |
| --- | --- |
| 24.02 | 25 |
| 26.71 | 38 |
| 27.92 | 45 |
| 28.70 | 98 |
| 28.90 | 92 |
| 29.56 | 100 |
| 30.61 | 49 |
| 32.17 | 48 |
| 50.55 | 25 |
| 57.93 | 31 |
| 58.07 | 30 |
| 58.43 | 25 |

Cell and atoms:
Unit cell a=9.4978 b=3.7049 c=12.6446 alpha=90.00 beta=91.51 gamma=90.00
Element x y z (fractional)
Ac 0.0000 0.0000 0.0000
Ac 0.1956 0.0000 0.5296
Ac 0.2882 0.0000 0.8211
Ac 0.7118 0.0000 0.1789
Ac 0.8044 0.0000 0.4704
La 0.0750 0.5000 0.2683
La 0.4636 0.5000 0.3552
La 0.5364 0.5000 0.6448
La 0.9250 0.5000 0.7317
Y 0.3493 0.0000 0.1148
Y 0.6507 0.0000 0.8852

[3]
Diffraction record for Ac2LaY4. The powder X-ray diffraction pattern is simulated, not measured: it uses a crystal structure in Alexandria, relaxed with GGA-PBE and Cu Kα X-rays.
Lines closer than 0.1° are merged.

Top 12 peaks for 2θ from 5° to 70°, in order of rising 2θ:
| 2theta | I/Imax |
| --- | --- |
| 21.36 | 42 |
| 27.69 | 100 |
| 32.89 | 82 |
| 39.56 | 31 |
| 41.58 | 21 |
| 43.52 | 12 |
| 45.37 | 13 |
| 55.53 | 12 |
| 55.64 | 26 |
| 58.73 | 19 |
| 67.50 | 9 |
| 67.61 | 12 |

Cell and atoms:
Unit cell a=8.8236 b=8.8236 c=8.8236 alpha=109.54 beta=109.54 gamma=109.33
Element x y z (fractional)
Ac 0.3750 0.0050 0.1300
Ac 0.7550 0.6250 0.6300
Ac 0.8750 0.2450 0.8700
Ac 0.9950 0.1250 0.3700
La 0.2500 0.7500 0.5000
La 0.5000 0.5000 0.0000
Y 0.1325 0.0445 0.7475
Y 0.1350 0.5470 0.7525
Y 0.2970 0.3850 0.2525
Y 0.4530 0.2055 0.5880
Y 0.6150 0.8675 0.9120
Y 0.6175 0.8650 0.4120
Y 0.7945 0.3825 0.2475
Y 0.9555 0.7030 0.0880